Simulated powder X-ray diffraction pattern
Compound: K2SrV4O12
Radiation: a wavelength of 1.5418 Å
Structure: a cell relaxed with PBE+U

Atomic structure:
```
K2SrV4O12
1.0
11.0940 0.0000 0.0000
0.0000 11.0940 0.0000
0.0000 0.0000 5.4389
K Sr V O
4 2 8 24
Direct
0.0000 0.0000 0.0000 K
0.0000 0.5000 0.0000 K
0.5000 0.0000 0.0000 K
0.5000 0.5000 0.0000 K
0.2500 0.2500 0.0000 Sr
0.7500 0.7500 0.0000 Sr
0.0300 0.7500 0.5000 V
0.2500 0.5300 0.5000 V
0.2500 0.9700 0.5000 V
0.4700 0.7500 0.5000 V
0.5300 0.2500 0.5000 V
0.7500 0.0300 0.5000 V
0.7500 0.4700 0.5000 V
0.9700 0.2500 0.5000 V
0.0553 0.2054 0.2621 O
0.0553 0.2946 0.7379 O
0.1256 0.6256 0.6025 O
0.1256 0.8744 0.3975 O
0.2054 0.0553 0.7379 O
0.2054 0.4447 0.2621 O
0.2946 0.0553 0.2621 O
0.2946 0.4447 0.7379 O
0.3744 0.6256 0.3975 O
0.3744 0.8744 0.6025 O
0.4447 0.2054 0.7379 O
0.4447 0.2946 0.2621 O
0.5553 0.7054 0.7379 O
0.5553 0.7946 0.2621 O
0.6256 0.1256 0.3975 O
0.6256 0.3744 0.6025 O
0.7054 0.5553 0.2621 O
0.7054 0.9447 0.7379 O
0.7946 0.5553 0.7379 O
0.7946 0.9447 0.2621 O
0.8744 0.1256 0.6025 O
0.8744 0.3744 0.3975 O
0.9447 0.7054 0.2621 O
0.9447 0.7946 0.7379 O
```

Principal peaks in the range 5 to 70 degrees two-theta, in order of falling intensity:
two_theta, I/Imax, (hkl)
28.05, 100, 2 2 1
19.86, 40, 1 1 1
32.28, 26, 4 0 0
55.00, 19, 6 2 1
46.78, 14, 4 0 2
42.04, 14, 3 1 2